# 1
Diffraction record for Mg14CdMo. The PXRD pattern is theoretical, not measured: it uses a PBE-relaxed structure and CuKα.
Lines closer than 0.1° are merged.

Structure:
Cell lengths 9.943, 6.319, 10.892 Å; angles 90.00, 90.00, 90.00 degrees
Space group Amm2 (No. 38)
Symmetry-distinct sites (fractional):
Mg  0.000  0.000  0.000
Mg  0.000  0.000  0.499
Mg  0.000  0.248  0.251
Mg  0.251  0.000  0.667
Mg  0.257  0.000  0.161
Mg  0.260  0.242  0.920
Mg  0.500  0.248  0.250
Cd  0.500  0.000  0.500
Mo  0.500  0.000  0.001

Most intense lines, 15 to 90 degrees two-theta, by angle:
hkl 0 0 2, 16.3 deg, I = 23
hkl 2 0 0, 17.8 deg, I = 17
hkl 1 0 2, 18.6 deg, I = 32
hkl 0 2 2, 32.8 deg, I = 30
hkl 4 0 0, 36.1 deg, I = 36
hkl 2 2 2, 37.6 deg, I = 100
hkl 2 0 4, 37.7 deg, I = 50
hkl 4 2 2, 49.6 deg, I = 26
hkl 6 0 4, 65.9 deg, I = 26
hkl 4 2 6, 70.9 deg, I = 18

# 2
Diffraction record for Ce2SbO2. The PXRD pattern is theoretical, not measured: it uses a PBE-relaxed structure and CuKα.
Lines closer than 0.1° are merged.

Structure:
Cell lengths 3.995, 3.995, 12.840 Å; angles 90.00, 90.00, 90.00 degrees
Space group I4/mmm (No. 139)
Symmetry-distinct sites (fractional):
Ce  0.000  0.000  0.155
Sb  0.000  0.000  0.500
O  0.000  0.500  0.250

Most intense lines, 15 to 90 degrees two-theta, by angle:
hkl 1 0 3, 30.6 deg, I = 100
hkl 1 1 0, 31.7 deg, I = 39
hkl 0 0 6, 42.2 deg, I = 8
hkl 2 0 0, 45.4 deg, I = 20
hkl 1 1 6, 53.7 deg, I = 21
hkl 2 1 3, 55.8 deg, I = 36
hkl 2 0 6, 63.7 deg, I = 9
hkl 1 0 9, 70.0 deg, I = 7
hkl 3 0 3, 74.6 deg, I = 8
hkl 2 1 9, 87.5 deg, I = 8

# 3
Diffraction record for NdPS4. The PXRD pattern is theoretical, not measured: it uses a PBE-relaxed structure and CuKα.
Lines closer than 0.1° are merged.

Structure:
Cell lengths 11.042, 11.042, 19.440 Å; angles 90.00, 90.00, 90.00 degrees
Space group I4_1/acd (No. 142, origin choice 2)
Symmetry-distinct sites (fractional):
Nd  0.000  0.250  0.125
Nd  0.000  0.250  0.375
P  0.037  0.000  0.250
S  0.066  0.002  0.838
S  0.092  0.114  0.002

Most intense lines, 15 to 90 degrees two-theta, by angle:
hkl 2 0 0, 16.1 deg, I = 100
hkl 2 0 4, 24.4 deg, I = 64
hkl 2 2 4, 29.3 deg, I = 52
hkl 4 0 0, 32.4 deg, I = 19
hkl 4 2 0, 36.4 deg, I = 36
hkl 4 0 4, 37.5 deg, I = 45
hkl 2 0 8, 40.6 deg, I = 24
hkl 4 2 4, 41.0 deg, I = 54
hkl 4 2 8, 52.9 deg, I = 16
hkl 6 2 4, 56.0 deg, I = 18

# 4
Diffraction record for EuHgPb. The PXRD pattern is theoretical, not measured: it uses a PBE-relaxed structure and CuKα.
Lines closer than 0.1° are merged.

Structure:
Cell lengths 5.1026, 5.1026, 8.0645 Å; angles 90.00, 90.00, 120.00 degrees
Space group P6_3mc (No. 186)
Symmetry-distinct sites (fractional):
Eu  0.0000  0.0000  0.0000
Hg  0.3333  0.6667  0.3072
Pb  0.3333  0.6667  0.7135

Most intense lines, 15 to 90 degrees two-theta, by angle:
hkl 1 0 1, 22.9 deg, I = 19
hkl 1 0 2, 30.0 deg, I = 100
hkl 1 1 0, 35.2 deg, I = 100
hkl 1 0 3, 39.2 deg, I = 35
hkl 2 0 2, 46.9 deg, I = 30
hkl 2 0 3, 53.7 deg, I = 14
hkl 2 1 2, 59.9 deg, I = 29
hkl 1 0 5, 61.2 deg, I = 16
hkl 3 0 0, 63.1 deg, I = 19
hkl 2 1 3, 65.8 deg, I = 16

# 5
Diffraction record for K3InI6. The PXRD pattern is theoretical, not measured: it uses a PBE-relaxed structure and CuKα.
Lines closer than 0.1° are merged.

Structure:
Cell lengths 12.565, 12.565, 12.565 Å; angles 90.00, 90.00, 90.00 degrees
Space group Fm-3m (No. 225)
Symmetry-distinct sites (fractional):
K  0.000  0.000  0.000
K  0.250  0.250  0.250
In  0.000  0.000  0.500
I  0.000  0.000  0.267

Most intense lines, 15 to 90 degrees two-theta, by angle:
hkl 2 2 2, 24.5 deg, I = 90
hkl 4 0 0, 28.4 deg, I = 100
hkl 4 2 0, 31.8 deg, I = 30
hkl 5 1 1, 37.2 deg, I = 15
hkl 4 4 0, 40.6 deg, I = 71
hkl 6 0 0, 43.2 deg, I = 16
hkl 6 2 2, 48.0 deg, I = 37
hkl 4 4 4, 50.3 deg, I = 24
hkl 8 4 0, 66.6 deg, I = 28
hkl 8 4 4, 73.9 deg, I = 19

# 6
Diffraction record for SnHg3. The PXRD pattern is theoretical, not measured: it uses a PBE-relaxed structure and CuKα.
Lines closer than 0.1° are merged.

Structure:
Cell lengths 6.8351, 6.8351, 5.2153 Å; angles 90.00, 90.00, 120.00 degrees
Space group P6_3/mmc (No. 194)
Symmetry-distinct sites (fractional):
Sn  0.3333  0.6667  0.2500
Hg  0.1655  0.3311  0.7500

Most intense lines, 15 to 90 degrees two-theta, by angle:
hkl 2 0 0, 30.2 deg, I = 24
hkl 0 0 2, 34.4 deg, I = 23
hkl 2 0 1, 34.9 deg, I = 100
hkl 2 0 2, 46.4 deg, I = 15
hkl 2 2 0, 53.6 deg, I = 20
hkl 2 0 3, 61.9 deg, I = 20
hkl 2 2 2, 65.3 deg, I = 22
hkl 4 0 1, 65.6 deg, I = 17
hkl 4 0 3, 86.3 deg, I = 8
hkl 4 2 1, 89.6 deg, I = 15

# 7
Diffraction record for TbGaI. The PXRD pattern is theoretical, not measured: it uses a PBE-relaxed structure and CuKα.
Lines closer than 0.1° are merged.

Structure:
Cell lengths 4.2090, 4.2090, 11.6860 Å; angles 90.00, 90.00, 120.00 degrees
Space group P-3m1 (No. 164)
Symmetry-distinct sites (fractional):
Tb  0.0000  0.0000  0.1736
Ga  0.3333  0.6667  0.0299
I  0.3333  0.6667  0.6546

Most intense lines, 15 to 90 degrees two-theta, by angle:
hkl 1 0 1, 25.6 deg, I = 37
hkl 1 0 2, 28.9 deg, I = 63
hkl 1 0 3, 33.7 deg, I = 100
hkl 1 1 0, 43.0 deg, I = 52
hkl 0 1 5, 46.1 deg, I = 23
hkl 0 2 2, 52.6 deg, I = 12
hkl 0 2 3, 55.7 deg, I = 24
hkl 1 1 6, 65.3 deg, I = 21
hkl 2 1 2, 70.2 deg, I = 10
hkl 2 1 3, 72.8 deg, I = 21

# 8
Diffraction record for BaLiYCu2O5. The PXRD pattern is theoretical, not measured: it uses a PBE-relaxed structure and CuKα.
Lines closer than 0.1° are merged.

Structure:
Cell lengths 3.784, 3.944, 9.105 Å; angles 90.00, 90.05, 90.00 degrees
Space group Pm (No. 6)
Symmetry-distinct sites (fractional):
Ba  0.000  0.000  0.000
Li  0.002  0.500  0.764
Y  0.001  0.000  0.406
Cu  0.501  0.500  0.223
Cu  0.501  0.500  0.580
O  0.000  0.500  0.239
O  0.001  0.500  0.554
O  0.501  0.000  0.227
O  0.501  0.000  0.547
O  0.501  0.500  0.879

Most intense lines, 15 to 90 degrees two-theta, by angle:
hkl 0 0 2, 19.5 deg, I = 32
hkl 0 1 2, 30.0 deg, I = 84
hkl 1 0 2, 30.7 deg, I = 74
hkl 1 1 0, 32.8 deg, I = 100
hkl 0 1 3, 37.4 deg, I = 68
hkl 1 0 -3, 38.0 deg, I = 68
hkl 1 1 2, 38.4 deg, I = 33
hkl 0 2 0, 46.0 deg, I = 44
hkl 2 0 0, 48.1 deg, I = 35
hkl 1 2 -3, 61.2 deg, I = 34

# 9
Diffraction record for DyGaRh2. The PXRD pattern is theoretical, not measured: it uses a PBE-relaxed structure and CuKα.
Lines closer than 0.1° are merged.

Structure:
Cell lengths 6.469, 6.469, 6.469 Å; angles 90.00, 90.00, 90.00 degrees
Space group Fm-3m (No. 225)
Symmetry-distinct sites (fractional):
Dy  0.000  0.000  0.000
Ga  0.000  0.000  0.500
Rh  0.250  0.250  0.250

Most intense lines, 15 to 90 degrees two-theta, by angle:
hkl 1 1 1, 23.8 deg, I = 9
hkl 2 2 0, 39.4 deg, I = 100
hkl 3 1 1, 46.6 deg, I = 5
hkl 4 0 0, 56.9 deg, I = 17
hkl 3 3 1, 62.6 deg, I = 2
hkl 4 2 2, 71.4 deg, I = 34
hkl 5 1 1, 76.5 deg, I = 2
hkl 4 4 0, 84.8 deg, I = 11
hkl 5 3 1, 89.7 deg, I = 2